[1]
The following is a computed PXRD pattern of Zr5Sb3S. It was derived from the GGA-PBE geometry in the Materials Project, using Cu Kα.
Peak positions follow from Bragg's law for the DFT cell and can differ from measured ones.

Crystal structure
Unit cell a=8.478 b=8.478 c=6.140 alpha=90.00 beta=90.00 gamma=120.00
Fractional coordinates of all 18 atoms:
Zr: 0.000 0.249 0.250
Zr: 0.000 0.751 0.750
Zr: 0.249 0.000 0.250
Zr: 0.249 0.249 0.750
Zr: 0.333 0.667 0.000
Zr: 0.333 0.667 0.500
Zr: 0.667 0.333 0.000
Zr: 0.667 0.333 0.500
Zr: 0.751 0.000 0.750
Zr: 0.751 0.751 0.250
Sb: 0.000 0.399 0.750
Sb: 0.000 0.601 0.250
Sb: 0.399 0.000 0.750
Sb: 0.399 0.399 0.250
Sb: 0.601 0.000 0.250
Sb: 0.601 0.601 0.750
S: 0.000 0.000 0.000
S: 0.000 0.000 0.500

Main lines, most intense first (2θ from 10° to 90°):
two_theta	d [Å]	I_rel
35.50	2.529	100
36.12	2.487	88
36.72	2.447	49
55.81	1.647	26
47.01	1.933	24
29.09	3.070	21
32.26	2.775	17
72.71	1.300	16
52.46	1.744	15
71.17	1.325	14
60.29	1.535	11
64.56	1.444	9

***

[2]
The following is a computed PXRD pattern of ScS2. It was derived from the GGA-PBE geometry in the Materials Project, using Cu Kα.
Peak positions follow from Bragg's law for the DFT cell and can differ from measured ones.

Crystal structure
Unit cell a=6.062 b=6.062 c=3.771 alpha=90.00 beta=90.00 gamma=90.00
Fractional coordinates of all 6 atoms:
Sc: 0.000 0.000 0.000
Sc: 0.500 0.500 0.500
S: 0.203 0.203 0.500
S: 0.297 0.703 0.000
S: 0.703 0.297 0.000
S: 0.797 0.797 0.500

Main lines, most intense first (2θ from 10° to 90°):
two_theta	d [Å]	I_rel
20.72	4.286	100
31.60	2.831	95
41.00	2.201	86
51.30	1.781	52
42.16	2.143	44
33.04	2.711	28
27.86	3.202	23
48.26	1.886	21
65.99	1.416	20
53.63	1.709	16
53.06	1.726	13
83.81	1.154	11

***

[3]
The following is a computed PXRD pattern of Tb3Sc2S7. It was derived from the GGA-PBE geometry in the Materials Project, using Cu Kα.
Peak positions follow from Bragg's law for the DFT cell and can differ from measured ones.

Crystal structure
Unit cell a=6.510 b=6.510 c=11.421 alpha=104.28 beta=104.28 gamma=33.57
Fractional coordinates of all 12 atoms:
Tb: 0.000 0.000 0.000
Tb: 0.304 0.304 0.201
Tb: 0.696 0.696 0.799
Sc: 0.111 0.111 0.429
Sc: 0.889 0.889 0.571
S: 0.031 0.031 0.776
S: 0.263 0.263 0.638
S: 0.337 0.337 0.947
S: 0.500 0.500 0.500
S: 0.663 0.663 0.053
S: 0.737 0.737 0.362
S: 0.969 0.969 0.224

Main lines, most intense first (2θ from 10° to 90°):
two_theta	d [Å]	I_rel
24.89	3.577	100
24.53	3.629	92
28.63	3.118	87
32.63	2.744	86
35.06	2.560	71
25.50	3.493	62
48.13	1.891	49
42.85	2.110	48
36.29	2.476	44
33.82	2.650	43
48.42	1.880	37
18.51	4.792	31

***

[4]
The following is a computed PXRD pattern of ScUS2. It was derived from the GGA-PBE geometry in the Materials Project, using Cu Kα.
Peak positions follow from Bragg's law for the DFT cell and can differ from measured ones.

Crystal structure
Unit cell a=3.781 b=3.781 c=5.314 alpha=90.00 beta=90.00 gamma=90.00
Fractional coordinates of all 4 atoms:
Sc: 0.000 0.000 0.000
U: 0.500 0.500 0.500
S: 0.000 0.000 0.500
S: 0.500 0.500 0.000

Main lines, most intense first (2θ from 10° to 90°):
two_theta	d [Å]	I_rel
28.98	3.081	100
33.51	2.674	95
16.68	5.314	70
48.29	1.885	67
23.53	3.781	65
33.73	2.657	47
37.66	2.389	41
60.06	1.541	35
48.13	1.891	34
57.16	1.611	33
41.54	2.174	31
89.98	1.090	25

***

[5]
The following is a computed PXRD pattern of ScUS2. It was derived from the GGA-PBE geometry in the Materials Project, using Cu Kα.
Peak positions follow from Bragg's law for the DFT cell and can differ from measured ones.

Crystal structure
Unit cell a=5.346 b=5.346 c=10.661 alpha=90.00 beta=90.00 gamma=90.00
Fractional coordinates of all 16 atoms:
Sc: 0.000 0.250 0.375
Sc: 0.000 0.750 0.625
Sc: 0.500 0.250 0.125
Sc: 0.500 0.750 0.875
U: 0.000 0.250 0.875
U: 0.000 0.750 0.125
U: 0.500 0.250 0.625
U: 0.500 0.750 0.375
S: 0.000 0.250 0.130
S: 0.000 0.250 0.620
S: 0.000 0.750 0.380
S: 0.000 0.750 0.870
S: 0.500 0.250 0.370
S: 0.500 0.250 0.880
S: 0.500 0.750 0.120
S: 0.500 0.750 0.630

Main lines, most intense first (2θ from 10° to 90°):
two_theta	d [Å]	I_rel
18.57	4.779	100
48.19	1.888	94
28.96	3.083	94
33.53	2.673	89
33.63	2.665	44
30.20	2.959	36
38.60	2.333	35
45.76	1.983	34
60.01	1.542	32
57.17	1.611	30
80.35	1.195	29
89.96	1.091	23

***

[6]
The following is a computed PXRD pattern of Sc2ZnS4. It was derived from the GGA-PBE geometry in the Materials Project, using Cu Kα.
Peak positions follow from Bragg's law for the DFT cell and can differ from measured ones.

Crystal structure
Unit cell a=7.460 b=7.460 c=7.460 alpha=60.00 beta=60.00 gamma=60.00
Fractional coordinates of all 14 atoms:
Sc: 0.000 0.000 0.000
Sc: 0.000 0.000 0.500
Sc: 0.000 0.500 0.000
Sc: 0.500 0.000 0.000
Zn: 0.375 0.375 0.375
Zn: 0.625 0.625 0.625
S: 0.234 0.755 0.755
S: 0.245 0.245 0.245
S: 0.245 0.245 0.766
S: 0.245 0.766 0.245
S: 0.755 0.234 0.755
S: 0.755 0.755 0.234
S: 0.755 0.755 0.755
S: 0.766 0.245 0.245

Main lines, most intense first (2θ from 10° to 90°):
two_theta	d [Å]	I_rel
28.05	3.181	100
48.83	1.865	95
23.86	3.730	44
44.63	2.030	43
33.99	2.638	38
41.95	2.154	19
68.29	1.374	19
71.55	1.319	14
57.26	1.609	12
78.52	1.218	12
66.30	1.410	10
88.38	1.106	9

***

[7]
The following is a computed PXRD pattern of SeS7. It was derived from the GGA-PBE geometry in the Materials Project, using Cu Kα.
Peak positions follow from Bragg's law for the DFT cell and can differ from measured ones.

Crystal structure
Unit cell a=5.089 b=9.607 c=15.561 alpha=90.22 beta=90.15 gamma=90.14
Fractional coordinates of all 24 atoms:
Se: 0.000 0.000 0.000
Se: 0.022 0.639 0.000
Se: 0.501 0.139 0.726
S: 0.005 0.011 0.226
S: 0.011 0.319 0.891
S: 0.011 0.320 0.332
S: 0.018 0.628 0.226
S: 0.232 0.047 0.119
S: 0.232 0.450 0.254
S: 0.242 0.444 0.969
S: 0.282 0.943 0.756
S: 0.290 0.949 0.472
S: 0.299 0.550 0.612
S: 0.505 0.128 0.500
S: 0.508 0.815 0.833
S: 0.509 0.818 0.395
S: 0.521 0.512 0.503
S: 0.522 0.511 0.722
S: 0.732 0.093 0.608
S: 0.732 0.690 0.473
S: 0.733 0.689 0.753
S: 0.781 0.195 0.969
S: 0.791 0.189 0.253
S: 0.791 0.592 0.119

Main lines, most intense first (2θ from 10° to 90°):
two_theta	d [Å]	I_rel
18.34	4.837	100
22.85	3.891	52
26.17	3.406	47
21.73	4.089	40
26.26	3.393	33
24.50	3.633	28
18.47	4.804	26
46.65	1.947	26
25.50	3.492	24
33.01	2.713	17
33.09	2.707	17
38.71	2.326	16

***

Question: Number 7 is which compound?
Answer: SeS7